This entry pairs a crystal structure of ScCo6P4 with its computed X-ray diffraction stick pattern. Radiation: λ = 1.5418 Å (Cu Kα). Structure: the GGA-PBE geometry in Alexandria.

Main lines, most intense first (2θ = 10–80°):
hkl 2 0 1, 2θ = 41.41°, I = 1000
hkl 2 1 1, 2θ = 50.40°, I = 442
hkl 2 1 0, 2θ = 42.50°, I = 234
hkl 0 0 2, 2θ = 53.09°, I = 219
hkl 2 2 0, 2θ = 56.66°, I = 218
hkl 3 0 0, 2θ = 48.54°, I = 194
hkl 1 0 0, 2θ = 15.75°, I = 147
hkl 1 0 1, 2θ = 30.39°, I = 137
hkl 1 1 1, 2θ = 38.05°, I = 131
hkl 3 0 2, 2θ = 74.77°, I = 94

Structure:
```
data_ScCo6P4
_cell_length_a 6.4976
_cell_length_b 6.4976
_cell_length_c 3.4501
_cell_angle_alpha 90.00
_cell_angle_beta 90.00
_cell_angle_gamma 120.00
_symmetry_space_group_name_H-M 'P -6 m 2'
_symmetry_Int_Tables_number 187
_symmetry_space_group_name_Hall 'P -6 2'
loop_
_atom_site_label
_atom_site_type_symbol
_atom_site_fract_x
_atom_site_fract_y
_atom_site_fract_z
Sc1 Sc 0.0000 0.0000 0.0000
Co1 Co 0.1998 0.3995 0.5000
Co2 Co 0.5342 0.0683 0.0000
P1 P 0.3333 0.6667 0.0000
P2 P 0.3762 0.1881 0.5000
```

=====

This entry pairs a crystal structure of Sm8YSc2 with its computed X-ray diffraction stick pattern. Radiation: λ = 1.5418 Å (Cu Kα). Structure: the GGA-PBE geometry in Alexandria.

Main lines, most intense first (2θ = 10–80°):
hkl 1 2 3, 2θ = 31.92°, I = 1000
hkl 2 0 0, 2θ = 32.72°, I = 342
hkl 1 1 4, 2θ = 30.15°, I = 292
hkl 0 3 1, 2θ = 32.46°, I = 218
hkl 0 0 6, 2θ = 34.65°, I = 184
hkl 2 3 1, 2θ = 46.76°, I = 183
hkl 3 2 3, 2θ = 57.90°, I = 181
hkl 1 1 2, 2θ = 22.51°, I = 150
hkl 1 5 4, 2θ = 62.53°, I = 145
hkl 2 0 6, 2θ = 48.40°, I = 143

Structure:
```
data_Sm8YSc2
_cell_length_a 5.474
_cell_length_b 8.409
_cell_length_c 15.531
_cell_angle_alpha 90.00
_cell_angle_beta 90.00
_cell_angle_gamma 90.00
_symmetry_space_group_name_H-M 'I m m m'
_symmetry_Int_Tables_number 71
_symmetry_space_group_name_Hall '-I 2 2'
loop_
_atom_site_label
_atom_site_type_symbol
_atom_site_fract_x
_atom_site_fract_y
_atom_site_fract_z
Sm1 Sm 0.000 0.000 0.160
Sm2 Sm 0.000 0.202 0.356
Sm3 Sm 0.000 0.303 0.000
Y1 Y 0.000 0.500 0.500
Sc1 Sc 0.000 0.500 0.202
```

=====

This entry pairs a crystal structure of Ni3P with its computed X-ray diffraction stick pattern. Radiation: λ = 1.5418 Å (Cu Kα). Structure: the GGA-PBE geometry in Alexandria.

Main lines, most intense first (2θ = 10–80°):
hkl 1 1 2, 2θ = 45.51°, I = 1000
hkl 0 2 0, 2θ = 46.65°, I = 420
hkl 0 1 3, 2θ = 41.82°, I = 192
hkl 2 0 0, 2θ = 64.49°, I = 116
hkl 1 0 1, 2θ = 33.07°, I = 112
hkl 0 2 4, 2θ = 68.11°, I = 95
hkl 1 0 5, 2θ = 68.43°, I = 81
hkl 2 1 3, 2θ = 79.88°, I = 48
hkl 1 2 1, 2θ = 58.37°, I = 41
hkl 1 1 0, 2θ = 38.81°, I = 22

Structure:
```
data_Ni3P
_cell_length_a 2.889
_cell_length_b 3.894
_cell_length_c 7.787
_cell_angle_alpha 90.00
_cell_angle_beta 90.00
_cell_angle_gamma 90.00
_symmetry_space_group_name_H-M 'I m m m'
_symmetry_Int_Tables_number 71
_symmetry_space_group_name_Hall '-I 2 2'
loop_
_atom_site_label
_atom_site_type_symbol
_atom_site_fract_x
_atom_site_fract_y
_atom_site_fract_z
Ni1 Ni 0.000 0.000 0.000
Ni2 Ni 0.000 0.500 0.215
P1 P 0.000 0.000 0.500
```